Ho2CoNiB2N2: theoretical powder diffractogram (Cu Kα), based on DFT lattice parameters and positions (GGA-PBE).
Lines closer than 0.1° are merged.

Atomic structure:
a b c (Å): 3.4724 3.4724 7.4336
angles (deg): 90.00 90.00 90.00
Space group P-4m2 (No. 115)
Symmetry-distinct sites (fractional):
Ho1 0.0000 0.5000 0.1677
Co1 0.0000 0.0000 0.5000
Ni1 0.5000 0.5000 0.5000
B1 0.0000 0.5000 0.6544
N1 0.0000 0.5000 0.8544

Peak list (12 most intense, 10° ≤ 2θ ≤ 90°, low angle first)
| d/Å | intensity |
| --- | --- |
| 3.146 | 1000 |
| 2.537 | 674 |
| 2.478 | 467 |
| 2.455 | 246 |
| 2.331 | 641 |
| 2.049 | 463 |
| 1.736 | 353 |
| 1.638 | 202 |
| 1.520 | 255 |
| 1.482 | 164 |
| 1.433 | 238 |
| 1.422 | 316 |